1.
LiNd2YHg4: theoretical X-ray powder pattern (CuKα), based on a structure optimized by DFT (GGA-PBE).

Atomic structure:
a = 9.2009 Å, b = 9.2009 Å, c = 9.2009 Å
α = 33.16°, β = 33.16°, γ = 33.16°
Positions (direct):
Li  0.0000  0.0000  0.0000
Nd  0.2545  0.2545  0.2545
Nd  0.7455  0.7455  0.7455
Y  0.5000  0.5000  0.5000
Hg  0.1258  0.1258  0.1258
Hg  0.3749  0.3749  0.3749
Hg  0.6251  0.6251  0.6251
Hg  0.8742  0.8742  0.8742

The 8 most intense peaks (2θ from 5° to 70°), in order of falling intensity:
2theta	I/Imax
33.85	100.0
34.15	99.0
60.94	37.3
48.84	36.0
23.86	29.2
61.13	18.7
60.36	18.5
20.69	9.5

---

2.
LiTm2Ga12: theoretical X-ray powder pattern (CuKα), based on a structure optimized by DFT (GGA-PBE).

Atomic structure:
a = 6.1365 Å, b = 6.1365 Å, c = 14.9998 Å
α = 90.00°, β = 90.00°, γ = 90.00°
Positions (direct):
Li  0.2500  0.7500  0.0000
Li  0.7500  0.2500  0.0000
Tm  0.2500  0.7500  0.2428
Tm  0.2500  0.7500  0.7572
Tm  0.7500  0.2500  0.2428
Tm  0.7500  0.2500  0.7572
Ga  0.0006  0.5006  0.0881
Ga  0.0006  0.9994  0.9119
Ga  0.0852  0.5852  0.5710
Ga  0.0852  0.9148  0.4290
Ga  0.2500  0.2500  0.1836
Ga  0.2500  0.2500  0.3449
Ga  0.2500  0.2500  0.6551
Ga  0.2500  0.2500  0.8164
Ga  0.4148  0.5852  0.4290
Ga  0.4148  0.9148  0.5710
Ga  0.4994  0.5006  0.9119
Ga  0.4994  0.9994  0.0881
Ga  0.5006  0.0006  0.9119
Ga  0.5006  0.4994  0.0881
Ga  0.5852  0.0852  0.4290
Ga  0.5852  0.4148  0.5710
Ga  0.7500  0.7500  0.1836
Ga  0.7500  0.7500  0.3449
Ga  0.7500  0.7500  0.6551
Ga  0.7500  0.7500  0.8164
Ga  0.9148  0.0852  0.5710
Ga  0.9148  0.4148  0.4290
Ga  0.9994  0.0006  0.0881
Ga  0.9994  0.4994  0.9119

The 8 most intense peaks (2θ from 5° to 70°), in order of falling intensity:
2theta	I/Imax
31.51	100.0
41.66	61.2
69.70	21.7
53.16	20.8
37.89	15.6
60.36	15.2
42.12	11.9
35.92	9.8

---

3.
LaCeTlHg: theoretical X-ray powder pattern (CuKα), based on a structure optimized by DFT (GGA-PBE).

Atomic structure:
a = 3.5958 Å, b = 3.5958 Å, c = 9.0019 Å
α = 90.00°, β = 90.00°, γ = 90.00°
Positions (direct):
La  0.0000  0.0000  0.0000
Ce  0.0000  0.0000  0.4856
Tl  0.5000  0.5000  0.7384
Hg  0.5000  0.5000  0.2497

The 8 most intense peaks (2θ from 5° to 70°), in order of falling intensity:
2theta	I/Imax
31.85	100.0
35.30	38.4
61.21	31.3
54.45	21.8
50.78	13.9
40.07	13.2
66.57	12.0
67.67	11.0

---

4.
Al2AgAu: theoretical X-ray powder pattern (CuKα), based on a structure optimized by DFT (GGA-PBE).

Atomic structure:
a = 3.0083 Å, b = 3.0083 Å, c = 7.4973 Å
α = 90.00°, β = 90.00°, γ = 90.00°
Positions (direct):
Al  0.0000  0.0000  0.2424
Al  0.0000  0.0000  0.7576
Ag  0.5000  0.5000  0.5000
Au  0.5000  0.5000  0.0000

The 8 most intense peaks (2θ from 5° to 70°), in order of falling intensity:
2theta	I/Imax
38.37	100.0
29.70	48.8
23.74	42.0
42.50	37.5
49.25	24.4
11.80	21.4
66.49	19.5
57.97	14.9

---

5.
EuY2Rh: theoretical X-ray powder pattern (CuKα), based on a structure optimized by DFT (GGA-PBE).

Atomic structure:
a = 3.5239 Å, b = 3.5239 Å, c = 9.2232 Å
α = 90.00°, β = 90.00°, γ = 90.00°
Positions (direct):
Eu  0.0000  0.0000  0.0000
Y  0.5000  0.5000  0.3244
Y  0.5000  0.5000  0.6756
Rh  0.0000  0.0000  0.5000

The 8 most intense peaks (2θ from 5° to 70°), in order of falling intensity:
2theta	I/Imax
31.96	100.0
36.04	52.0
62.26	28.7
47.10	24.3
27.09	18.7
51.89	18.0
19.25	14.4
46.94	12.8

---

6.
Si2WBr: theoretical X-ray powder pattern (CuKα), based on a structure optimized by DFT (GGA-PBE).

Atomic structure:
a = 9.2231 Å, b = 9.2231 Å, c = 9.2231 Å
α = 18.97°, β = 18.97°, γ = 18.97°
Positions (direct):
Si  0.0000  0.0000  0.0000
Si  0.2633  0.2633  0.2633
W  0.5229  0.5229  0.5229
Br  0.7849  0.7849  0.7849

The 8 most intense peaks (2θ from 5° to 70°), in order of falling intensity:
2theta	I/Imax
9.77	100.0
36.61	40.9
43.50	21.2
41.45	14.5
34.22	12.3
50.69	11.2
60.96	9.8
19.61	7.9

---

7.
Ta7Mo: theoretical X-ray powder pattern (CuKα), based on a structure optimized by DFT (GGA-PBE).

Atomic structure:
a = 3.2953 Å, b = 4.6650 Å, c = 9.3078 Å
α = 90.00°, β = 90.00°, γ = 90.00°
Positions (direct):
Ta  0.0000  0.0000  0.0000
Ta  0.0000  0.0000  0.5000
Ta  0.0000  0.5000  0.2398
Ta  0.0000  0.5000  0.7602
Ta  0.5000  0.0000  0.2530
Ta  0.5000  0.0000  0.7470
Ta  0.5000  0.5000  0.5000
Mo  0.5000  0.5000  0.0000

The 7 most intense peaks (2θ from 5° to 70°), in order of falling intensity:
2theta	I/Imax
38.65	100.0
69.90	23.6
55.80	17.2
34.71	1.2
9.50	0.9
28.75	0.8
19.05	0.6

---

8.
Pu2AlGa7: theoretical X-ray powder pattern (CuKα), based on a structure optimized by DFT (GGA-PBE).

Atomic structure:
a = 4.2523 Å, b = 4.2523 Å, c = 10.8092 Å
α = 90.00°, β = 90.00°, γ = 90.00°
Positions (direct):
Pu  0.0000  0.5000  0.2498
Pu  0.5000  0.0000  0.7502
Al  0.0000  0.0000  0.5000
Ga  0.0000  0.0000  0.0000
Ga  0.0000  0.5000  0.6376
Ga  0.0000  0.5000  0.8632
Ga  0.5000  0.0000  0.1368
Ga  0.5000  0.0000  0.3624
Ga  0.5000  0.5000  0.0000
Ga  0.5000  0.5000  0.5000

The 8 most intense peaks (2θ from 5° to 70°), in order of falling intensity:
2theta	I/Imax
34.12	100.0
32.57	76.2
42.52	48.1
47.16	38.6
54.57	36.0
29.71	32.5
65.36	29.1
22.47	29.1